Na3Mn3O8: computed PXRD pattern (Cu Kα, 1.54184 Å), based on a cell relaxed with PBE+U.
Neutral-atom scattering factors, no anomalous dispersion.

Largest 10 diffraction maxima, most intense first, 2θ from 15° to 90°:
Position (°2θ)  I (rel.)  h k l
33.8  100  3 1 1
17.5  87  1 1 1
41.1  45  4 0 0
59.5  36  4 4 0
54.2  30  5 1 1
22.6  25  2 1 0
53.1  24  5 1 0
42.4  17  4 1 0
35.4  13  2 2 2
60.5  11  4 4 1

Structure:
```
Na3Mn3O8
1.0
8.7938 0.0000 0.0000
0.0000 8.7938 0.0000
0.0000 0.0000 8.7938
Na Mn O
12 12 32
Direct
0.0162 0.0162 0.0162 Na
0.1250 0.8750 0.3750 Na
0.2338 0.2338 0.2338 Na
0.2662 0.7662 0.7338 Na
0.3750 0.1250 0.8750 Na
0.4838 0.9838 0.5162 Na
0.5162 0.4838 0.9838 Na
0.6250 0.6250 0.6250 Na
0.7338 0.2662 0.7662 Na
0.7662 0.7338 0.2662 Na
0.8750 0.3750 0.1250 Na
0.9838 0.5162 0.4838 Na
0.1013 0.1487 0.6250 Mn
0.1250 0.3987 0.8513 Mn
0.1487 0.6250 0.1013 Mn
0.3513 0.3750 0.6013 Mn
0.3750 0.6013 0.3513 Mn
0.3987 0.8513 0.1250 Mn
0.6013 0.3513 0.3750 Mn
0.6250 0.1013 0.1487 Mn
0.6487 0.8750 0.8987 Mn
0.8513 0.1250 0.3987 Mn
0.8750 0.8987 0.6487 Mn
0.8987 0.6487 0.8750 Mn
0.0660 0.1418 0.4076 O
0.0924 0.9340 0.6418 O
0.1082 0.1840 0.8424 O
0.1227 0.6227 0.8773 O
0.1273 0.3727 0.6273 O
0.1418 0.4076 0.0660 O
0.1576 0.6082 0.3160 O
0.1840 0.8424 0.1082 O
0.3160 0.1576 0.6082 O
0.3424 0.3918 0.8160 O
0.3582 0.5924 0.5660 O
0.3727 0.6273 0.1273 O
0.3773 0.3773 0.3773 O
0.3918 0.8160 0.3424 O
0.4076 0.0660 0.1418 O
0.4340 0.8582 0.9076 O
0.5660 0.3582 0.5924 O
0.5924 0.5660 0.3582 O
0.6082 0.3160 0.1576 O
0.6227 0.8773 0.1227 O
0.6273 0.1273 0.3727 O
0.6418 0.0924 0.9340 O
0.6576 0.8918 0.6840 O
0.6840 0.6576 0.8918 O
0.8160 0.3424 0.3918 O
0.8424 0.1082 0.1840 O
0.8582 0.9076 0.4340 O
0.8727 0.8727 0.8727 O
0.8773 0.1227 0.6227 O
0.8918 0.6840 0.6576 O
0.9076 0.4340 0.8582 O
0.9340 0.6418 0.0924 O
```